1.
The following is a calculated powder X-ray diffraction pattern of Li4V4O3F9. It was derived from DFT lattice parameters and positions (PBE+U), using copper Kα.

Largest 10 diffraction maxima, by intensity, 10° ≤ 2θ ≤ 80°:
Position (°2θ)	intensity
19.3	100.0
21.5	29.3
19.5	28.3
17.5	22.1
37.3	19.4
27.8	19.1
39.6	18.0
33.2	16.9
20.4	15.8
25.5	15.7

Structural model:
```
Li4V4O3F9
1.0
5.358 0.000 0.000
2.435 5.078 0.000
1.100 0.535 9.234
Li V O F
4 4 3 9
Direct
0.000 0.000 0.000
0.182 0.485 0.223
0.438 0.142 0.957
0.651 0.930 0.394
0.146 0.949 0.630
0.543 0.562 0.777
0.683 0.536 0.116
0.756 0.398 0.453
0.557 0.703 0.570
0.657 0.358 0.953
0.800 0.608 0.291
0.103 0.290 0.084
0.135 0.298 0.526
0.164 0.603 0.754
0.279 0.752 0.130
0.303 0.954 0.832
0.545 0.299 0.287
0.722 0.209 0.675
0.750 0.827 0.002
0.951 0.994 0.439
```

2.
The following is a calculated powder X-ray diffraction pattern of Li2VO2F. It was derived from DFT lattice parameters and positions (PBE+U), using copper Kα.

Largest 10 diffraction maxima, by intensity, 10° ≤ 2θ ≤ 80°:
Position (°2θ)	intensity
12.0	100.0
24.2	29.9
42.1	25.7
42.4	22.7
43.0	21.8
34.4	16.2
61.5	8.3
34.3	7.3
61.6	6.4
42.7	6.2

Structural model:
```
Li2VO2F
1.0
3.013 0.000 0.000
0.010 8.933 0.000
0.054 3.039 8.597
Li V O F
8 4 8 4
Direct
0.000 0.000 0.000
0.000 0.486 0.195
0.003 0.019 0.695
0.499 0.743 0.235
0.501 0.247 0.729
0.504 0.744 0.941
0.505 0.235 0.469
0.999 0.461 0.512
0.007 0.490 0.850
0.488 0.743 0.618
0.498 0.244 0.095
0.998 0.001 0.344
0.001 0.249 0.942
0.001 0.740 0.761
0.003 0.240 0.598
0.497 0.973 0.498
0.497 0.993 0.191
0.500 0.489 0.005
0.513 0.508 0.691
0.995 0.237 0.249
0.001 0.744 0.097
0.498 0.512 0.338
0.502 0.980 0.859
0.992 0.740 0.444
```

3.
The following is a calculated powder X-ray diffraction pattern of Li3VOF6. It was derived from DFT lattice parameters and positions (PBE+U), using copper Kα.

Largest 10 diffraction maxima, by intensity, 10° ≤ 2θ ≤ 80°:
Position (°2θ)	intensity
20.3	100.0
20.2	75.9
24.7	47.5
20.8	37.0
40.9	33.3
41.0	25.3
39.7	21.0
61.1	18.6
40.8	18.2
32.5	16.7

Structural model:
```
Li3VOF6
1.0
5.076 0.000 0.000
0.000 5.133 0.000
0.000 0.000 17.108
Li V O F
12 4 4 24
Direct
0.180 0.020 0.016
0.224 0.448 0.859
0.237 0.003 0.254
0.263 0.997 0.754
0.276 0.552 0.359
0.320 0.980 0.516
0.680 0.480 0.984
0.724 0.052 0.141
0.737 0.497 0.746
0.763 0.503 0.246
0.776 0.948 0.641
0.820 0.520 0.484
0.236 0.474 0.624
0.264 0.526 0.124
0.736 0.026 0.376
0.764 0.974 0.876
0.008 0.863 0.392
0.492 0.137 0.892
0.508 0.637 0.608
0.992 0.363 0.108
0.027 0.746 0.558
0.072 0.729 0.694
0.091 0.791 0.847
0.103 0.870 0.123
0.137 0.613 0.236
0.172 0.336 0.521
0.328 0.664 0.021
0.363 0.387 0.736
0.397 0.130 0.623
0.409 0.209 0.347
0.428 0.271 0.194
0.473 0.254 0.058
0.527 0.754 0.442
0.572 0.771 0.306
0.591 0.709 0.153
0.603 0.630 0.877
0.637 0.887 0.764
0.672 0.164 0.479
0.828 0.836 0.979
0.863 0.113 0.264
0.897 0.370 0.377
0.909 0.291 0.653
0.928 0.229 0.806
0.973 0.246 0.942
```